Record 1
# Li2Nb2Fe3O10
Calculated powder XRD pattern, λ = 1.5418 Å (Cu Kα). Input: the GGA+U geometry in Alexandria.
No peak broadening, texture or thermal motion is included.

Main lines, sorted by position (10° ≤ 2θ ≤ 80°):
| 2θ/deg | I (rel.) | (hkl) |
| --- | --- | --- |
| 12.2 | 26 | 0 0 1 |
| 17.5 | 60 | 0 1 0 |
| 18.6 | 100 | 1 0 -1 |
| 21.9 | 23 | 1 -1 0 |
| 25.7 | 38 | 1 0 1 |
| 30.6 | 28 | 1 1 -2 |
| 35.7 | 29 | 2 0 -1 |
| 41.5 | 41 | -1 1 3 |
| 42.2 | 41 | 2 -1 1 |
| 43.6 | 41 | 1 2 -2 |

a = 5.151 Å, b = 5.323 Å, c = 7.819 Å
α = 99.08°, β = 107.18°, γ = 102.21°
Space group P1 (No. 1)
Inequivalent atoms, fractional coordinates:
Li 0.000 0.000 0.000 (multiplicity 1)
Li 0.490 0.020 0.795 (multiplicity 1)
Nb 0.503 0.601 0.082 (multiplicity 1)
Nb 0.985 0.421 0.709 (multiplicity 1)
Fe 0.245 0.514 0.397 (multiplicity 1)
Fe 0.623 0.190 0.281 (multiplicity 1)
Fe 0.864 0.844 0.500 (multiplicity 1)
O 0.029 0.205 0.463 (multiplicity 1)
O 0.083 0.649 0.943 (multiplicity 1)
O 0.201 0.718 0.611 (multiplicity 1)
O 0.274 0.316 0.181 (multiplicity 1)
O 0.404 0.370 0.849 (multiplicity 1)
O 0.471 0.814 0.335 (multiplicity 1)
O 0.641 0.947 0.049 (multiplicity 1)
O 0.649 0.487 0.549 (multiplicity 1)
O 0.842 0.066 0.730 (multiplicity 1)
O 0.857 0.576 0.257 (multiplicity 1)

Record 2
# Li4Nb2V3Fe3O16
Calculated powder XRD pattern, λ = 1.5418 Å (Cu Kα). Input: the GGA+U geometry in Alexandria.
No peak broadening, texture or thermal motion is included.

Main lines, sorted by position (10° ≤ 2θ ≤ 80°):
| 2θ/deg | I (rel.) | (hkl) |
| --- | --- | --- |
| 18.1 | 31 | 0 0 2 |
| 19.2 | 100 | 0 1 -1 |
| 19.3 | 91 | 1 0 1 |
| 24.9 | 32 | 0 1 -2 |
| 25.0 | 25 | -1 1 2 |
| 32.3 | 26 | 1 0 -3 |
| 32.4 | 53 | -1 1 3 |
| 35.0 | 32 | 1 1 2 |
| 35.0 | 29 | -1 2 2 |
| 35.5 | 33 | 0 2 1 |

a = 6.001 Å, b = 6.016 Å, c = 9.784 Å
α = 90.07°, β = 90.22°, γ = 119.46°
Space group P1 (No. 1)
Inequivalent atoms, fractional coordinates:
Li 0.000 0.000 0.000 (multiplicity 1)
Li 0.005 0.998 0.501 (multiplicity 1)
Li 0.310 0.654 0.409 (multiplicity 1)
Li 0.648 0.329 0.910 (multiplicity 1)
Nb 0.326 0.665 0.008 (multiplicity 1)
Nb 0.668 0.336 0.507 (multiplicity 1)
V 0.168 0.341 0.725 (multiplicity 1)
V 0.172 0.824 0.733 (multiplicity 1)
V 0.338 0.167 0.234 (multiplicity 1)
Fe 0.651 0.829 0.723 (multiplicity 1)
Fe 0.813 0.651 0.223 (multiplicity 1)
Fe 0.820 0.167 0.225 (multiplicity 1)
O 0.010 0.013 0.311 (multiplicity 1)
O 0.013 0.998 0.811 (multiplicity 1)
O 0.026 0.525 0.853 (multiplicity 1)
O 0.155 0.333 0.103 (multiplicity 1)
O 0.166 0.833 0.101 (multiplicity 1)
O 0.293 0.662 0.615 (multiplicity 1)
O 0.336 0.159 0.607 (multiplicity 1)
O 0.455 0.957 0.857 (multiplicity 1)
O 0.459 0.511 0.853 (multiplicity 1)
O 0.485 0.451 0.361 (multiplicity 1)
O 0.501 0.025 0.349 (multiplicity 1)
O 0.619 0.297 0.117 (multiplicity 1)
O 0.660 0.836 0.098 (multiplicity 1)
O 0.832 0.660 0.598 (multiplicity 1)
O 0.833 0.165 0.599 (multiplicity 1)
O 0.941 0.461 0.353 (multiplicity 1)

Record 3
# Li4Nb3V2Fe3O16
Calculated powder XRD pattern, λ = 1.5418 Å (Cu Kα). Input: the GGA+U geometry in Alexandria.
No peak broadening, texture or thermal motion is included.

Main lines, sorted by position (10° ≤ 2θ ≤ 80°):
| 2θ/deg | I (rel.) | (hkl) |
| --- | --- | --- |
| 18.0 | 100 | 0 0 2 |
| 18.8 | 70 | 0 1 1 |
| 19.2 | 23 | 1 0 -1 |
| 24.4 | 20 | 1 0 2 |
| 34.1 | 20 | 1 2 2 |
| 34.8 | 32 | 0 2 1 |
| 34.9 | 25 | 2 0 1 |
| 35.3 | 31 | 2 0 -1 |
| 38.2 | 13 | 2 0 2 |
| 60.3 | 26 | 2 -2 0 |

a = 6.111 Å, b = 6.138 Å, c = 9.853 Å
α = 88.89°, β = 88.42°, γ = 60.20°
Space group P1 (No. 1)
Inequivalent atoms, fractional coordinates:
Li 0.000 0.000 0.000 (multiplicity 1)
Li 0.016 0.038 0.484 (multiplicity 1)
Li 0.324 0.349 0.384 (multiplicity 1)
Li 0.658 0.696 0.906 (multiplicity 1)
Nb 0.114 0.673 0.696 (multiplicity 1)
Nb 0.650 0.217 0.730 (multiplicity 1)
Nb 0.809 0.843 0.218 (multiplicity 1)
V 0.318 0.329 0.000 (multiplicity 1)
V 0.637 0.666 0.475 (multiplicity 1)
Fe 0.183 0.156 0.717 (multiplicity 1)
Fe 0.329 0.825 0.209 (multiplicity 1)
Fe 0.830 0.345 0.212 (multiplicity 1)
O 0.034 0.502 0.840 (multiplicity 1)
O 0.152 0.666 0.102 (multiplicity 1)
O 0.166 0.154 0.094 (multiplicity 1)
O 0.310 0.823 0.599 (multiplicity 1)
O 0.351 0.347 0.604 (multiplicity 1)
O 0.480 0.500 0.842 (multiplicity 1)
O 0.485 0.057 0.842 (multiplicity 1)
O 0.501 0.974 0.339 (multiplicity 1)
O 0.505 0.534 0.341 (multiplicity 1)
O 0.659 0.689 0.102 (multiplicity 1)
O 0.660 0.151 0.099 (multiplicity 1)
O 0.812 0.847 0.600 (multiplicity 1)
O 0.830 0.326 0.602 (multiplicity 1)
O 0.945 0.551 0.355 (multiplicity 1)
O 0.986 0.987 0.813 (multiplicity 1)
O 0.998 0.989 0.307 (multiplicity 1)

Question: Which formula does entry 1 have?
Answer: Li2Nb2Fe3O10

What did the third record say?
# Li4Nb3V2Fe3O16
Calculated powder XRD pattern, λ = 1.5418 Å (Cu Kα). Input: the GGA+U geometry in Alexandria.
No peak broadening, texture or thermal motion is included.

Main lines, sorted by position (10° ≤ 2θ ≤ 80°):
| 2θ/deg | I (rel.) | (hkl) |
| --- | --- | --- |
| 18.0 | 100 | 0 0 2 |
| 18.8 | 70 | 0 1 1 |
| 19.2 | 23 | 1 0 -1 |
| 24.4 | 20 | 1 0 2 |
| 34.1 | 20 | 1 2 2 |
| 34.8 | 32 | 0 2 1 |
| 34.9 | 25 | 2 0 1 |
| 35.3 | 31 | 2 0 -1 |
| 38.2 | 13 | 2 0 2 |
| 60.3 | 26 | 2 -2 0 |

a = 6.111 Å, b = 6.138 Å, c = 9.853 Å
α = 88.89°, β = 88.42°, γ = 60.20°
Space group P1 (No. 1)
Inequivalent atoms, fractional coordinates:
Li 0.000 0.000 0.000 (multiplicity 1)
Li 0.016 0.038 0.484 (multiplicity 1)
Li 0.324 0.349 0.384 (multiplicity 1)
Li 0.658 0.696 0.906 (multiplicity 1)
Nb 0.114 0.673 0.696 (multiplicity 1)
Nb 0.650 0.217 0.730 (multiplicity 1)
Nb 0.809 0.843 0.218 (multiplicity 1)
V 0.318 0.329 0.000 (multiplicity 1)
V 0.637 0.666 0.475 (multiplicity 1)
Fe 0.183 0.156 0.717 (multiplicity 1)
Fe 0.329 0.825 0.209 (multiplicity 1)
Fe 0.830 0.345 0.212 (multiplicity 1)
O 0.034 0.502 0.840 (multiplicity 1)
O 0.152 0.666 0.102 (multiplicity 1)
O 0.166 0.154 0.094 (multiplicity 1)
O 0.310 0.823 0.599 (multiplicity 1)
O 0.351 0.347 0.604 (multiplicity 1)
O 0.480 0.500 0.842 (multiplicity 1)
O 0.485 0.057 0.842 (multiplicity 1)
O 0.501 0.974 0.339 (multiplicity 1)
O 0.505 0.534 0.341 (multiplicity 1)
O 0.659 0.689 0.102 (multiplicity 1)
O 0.660 0.151 0.099 (multiplicity 1)
O 0.812 0.847 0.600 (multiplicity 1)
O 0.830 0.326 0.602 (multiplicity 1)
O 0.945 0.551 0.355 (multiplicity 1)
O 0.986 0.987 0.813 (multiplicity 1)
O 0.998 0.989 0.307 (multiplicity 1)